(1)
Theoretical powder XRD pattern
Compound: La8Pr5In
Radiation: Cu Kα (weighted mean of Kα1 and Kα2)
Structure: a cell relaxed with PBE
No peak broadening, texture or thermal motion is included.

Principal peaks in the range 2θ = 5–70°, in order of rising 2θ:
| 2theta | d (Å) | Rel. int. |
| --- | --- | --- |
| 24.03 | 3.703 | 24 |
| 29.08 | 3.071 | 28 |
| 30.25 | 2.955 | 100 |
| 30.37 | 2.943 | 89 |
| 30.60 | 2.921 | 87 |
| 31.21 | 2.866 | 62 |
| 32.02 | 2.795 | 98 |
| 52.97 | 1.729 | 21 |

Structure:
```
La8Pr5In
1.0
8.0147 -4.2865 0.0000
8.0147 4.2865 0.0000
-4.7946 0.0000 7.3846
La Pr In
8 5 1
Cartesian
4.7444 2.0256 0.5459
0.9260 0.0000 1.4675
1.3841 -0.6939 5.4789
6.4903 2.0256 6.8387
3.1867 -2.1859 3.0943
9.8506 -0.6939 1.9057
10.3087 0.0000 5.9171
8.0480 -2.1859 4.2903
5.6173 4.1133 3.6923
3.8576 1.2496 3.9520
7.3771 1.2496 3.4326
6.2627 -1.5136 1.4298
4.9719 -1.5136 5.9548
8.0147 1.3265 0.0000
```


(2)
Theoretical powder XRD pattern
Compound: MgBi4O8
Radiation: Cu Kα (weighted mean of Kα1 and Kα2)
Structure: a cell relaxed with PBE
No peak broadening, texture or thermal motion is included.

Principal peaks in the range 2θ = 5–70°, in order of rising 2θ:
| 2theta | d (Å) | Rel. int. |
| --- | --- | --- |
| 19.76 | 4.492 | 100 |
| 28.03 | 3.184 | 71 |
| 29.35 | 3.043 | 53 |
| 29.92 | 2.986 | 28 |
| 31.88 | 2.807 | 41 |
| 32.60 | 2.747 | 48 |
| 42.93 | 2.107 | 42 |
| 46.68 | 1.946 | 29 |

Structure:
```
MgBi4O8
1.0
6.8107 -1.7334 0.0000
6.8107 1.7334 0.0000
-3.3642 0.0000 8.9591
Mg Bi O
1 4 8
Cartesian
0.0000 0.0000 0.0000
0.3155 0.0000 8.3985
3.9095 0.0000 6.0801
8.6676 0.0000 2.5582
12.4220 0.0000 3.0842
-1.9190 0.0000 7.0910
0.8668 0.0000 3.6520
1.9809 0.0000 0.8552
2.8263 0.0000 7.8957
5.4283 0.0000 4.5863
6.6505 0.0000 1.6888
11.3232 0.0000 0.5165
9.8027 0.0000 5.0795
```


(3)
Theoretical powder XRD pattern
Compound: AcPr2Dy7
Radiation: Cu Kα (weighted mean of Kα1 and Kα2)
Structure: a cell relaxed with PBE
No peak broadening, texture or thermal motion is included.

Principal peaks in the range 2θ = 5–70°, in order of rising 2θ:
| 2theta | d (Å) | Rel. int. |
| --- | --- | --- |
| 25.79 | 3.454 | 55 |
| 29.03 | 3.076 | 34 |
| 30.14 | 2.965 | 74 |
| 30.38 | 2.942 | 100 |
| 31.58 | 2.833 | 34 |
| 36.05 | 2.492 | 33 |
| 37.34 | 2.408 | 77 |
| 44.21 | 2.048 | 27 |

Structure:
```
AcPr2Dy7
1.0
5.9300 -8.5001 0.0000
5.9300 8.5001 0.0000
0.0000 0.0000 3.5974
Ac Pr Dy
1 2 7
Cartesian
0.0000 0.0000 0.0000
5.9300 5.4144 1.7987
5.9300 -5.4144 1.7987
3.0984 2.2769 1.7987
5.9300 2.8379 0.0000
3.0984 -2.2769 1.7987
5.9300 0.0000 1.7987
8.7615 2.2769 1.7987
5.9300 -2.8379 0.0000
8.7615 -2.2769 1.7987
```


(4)
Theoretical powder XRD pattern
Compound: CdInTe2O8
Radiation: Cu Kα (weighted mean of Kα1 and Kα2)
Structure: a cell relaxed with PBE
No peak broadening, texture or thermal motion is included.

Principal peaks in the range 2θ = 5–70°, in order of rising 2θ:
| 2theta | d (Å) | Rel. int. |
| --- | --- | --- |
| 24.50 | 3.634 | 100 |
| 31.57 | 2.834 | 82 |
| 34.92 | 2.570 | 23 |
| 47.78 | 1.904 | 65 |
| 50.21 | 1.817 | 16 |
| 56.64 | 1.625 | 15 |
| 60.13 | 1.539 | 15 |
| 60.53 | 1.530 | 19 |

Structure:
```
CdInTe2O8
1.0
-3.6340 3.6340 3.3970
3.6340 -3.6340 3.3970
3.6340 3.6340 -3.3970
Cd In Te O
1 1 2 8
Cartesian
0.0000 0.0000 0.0000
0.0000 3.6340 1.6985
3.6340 0.0000 1.6985
0.0000 0.0000 3.3970
2.2873 0.0000 0.4080
4.9806 0.0000 0.4080
3.6340 2.2123 -1.2717
3.6340 -1.3466 2.9889
0.0000 1.4217 2.1253
3.6340 1.3466 2.9889
2.2123 3.6340 1.2717
1.4217 0.0000 4.6686
```


(5)
Theoretical powder XRD pattern
Compound: Na3TcBr8
Radiation: Cu Kα (weighted mean of Kα1 and Kα2)
Structure: a cell relaxed with PBE
No peak broadening, texture or thermal motion is included.

Principal peaks in the range 2θ = 5–70°, in order of rising 2θ:
| 2theta | d (Å) | Rel. int. |
| --- | --- | --- |
| 9.96 | 8.883 | 37 |
| 13.98 | 6.335 | 48 |
| 17.70 | 5.010 | 27 |
| 24.85 | 3.584 | 50 |
| 28.17 | 3.168 | 47 |
| 29.45 | 3.033 | 55 |
| 31.40 | 2.849 | 100 |
| 43.58 | 2.077 | 62 |

Structure:
```
Na3TcBr8
1.0
3.7142 -6.0665 0.0000
3.7142 6.0665 0.0000
0.0000 0.0000 8.8830
Na Tc Br
3 1 8
Cartesian
0.0000 0.0000 0.0000
1.8571 3.0332 6.6892
1.8571 -3.0332 2.1938
0.0000 0.0000 4.4415
3.7142 3.5424 4.4415
1.7830 0.0351 6.2377
3.7142 3.1597 0.0000
1.7830 -0.0351 2.6453
5.6454 0.0351 2.6453
3.7142 -3.1597 0.0000
5.6454 -0.0351 6.2377
3.7142 -3.5424 4.4415
```


(6)
Theoretical powder XRD pattern
Compound: Tb7HoTh3
Radiation: Cu Kα (weighted mean of Kα1 and Kα2)
Structure: a cell relaxed with PBE
No peak broadening, texture or thermal motion is included.

Principal peaks in the range 2θ = 5–70°, in order of rising 2θ:
| 2theta | d (Å) | Rel. int. |
| --- | --- | --- |
| 30.98 | 2.887 | 23 |
| 31.69 | 2.823 | 31 |
| 31.88 | 2.808 | 100 |
| 32.00 | 2.797 | 60 |
| 32.23 | 2.778 | 67 |
| 32.76 | 2.734 | 59 |
| 33.52 | 2.673 | 36 |
| 33.80 | 2.652 | 30 |

Structure:
```
Tb7HoTh3
1.0
6.4496 0.0000 0.0000
-0.8005 6.6520 0.0000
-1.0770 -1.8479 8.3900
Tb Ho Th
7 1 3
Cartesian
0.0000 0.0000 0.0000
-0.8039 3.5647 5.4055
0.3830 0.2302 5.9116
1.5915 3.1530 7.7614
2.9808 1.6511 0.6286
4.1892 4.5739 2.4784
5.3761 1.2394 2.9845
-0.4002 3.3260 0.0000
0.9785 5.6814 2.8101
2.2861 2.4020 4.1950
3.5937 -0.8773 5.5799
```


(7)
Theoretical powder XRD pattern
Compound: Ac2F5
Radiation: Cu Kα (weighted mean of Kα1 and Kα2)
Structure: a cell relaxed with PBE
No peak broadening, texture or thermal motion is included.

Principal peaks in the range 2θ = 5–70°, in order of rising 2θ:
| 2theta | d (Å) | Rel. int. |
| --- | --- | --- |
| 25.69 | 3.468 | 100 |
| 28.93 | 3.087 | 18 |
| 29.27 | 3.051 | 19 |
| 31.00 | 2.885 | 18 |
| 41.62 | 2.170 | 22 |
| 42.91 | 2.108 | 22 |
| 43.16 | 2.096 | 22 |
| 49.78 | 1.832 | 17 |

Structure:
```
Ac2F5
1.0
-3.0868 6.1017 2.8852
3.0868 -6.1017 2.8852
3.0868 6.1017 -2.8852
Ac F
4 10
Cartesian
1.4016 1.4298 0.0000
1.4016 -1.4298 2.8852
1.6851 7.5315 0.0000
1.6851 4.6719 2.8852
3.0868 -2.9144 1.4426
4.9662 1.2778 0.0000
3.0868 0.0000 1.4426
1.8795 4.8239 0.0000
3.0868 2.9144 1.4426
0.0000 3.1873 1.4426
1.2073 1.2778 2.8852
0.0000 6.1017 1.4426
-1.8795 4.8239 2.8852
0.0000 9.0161 1.4426
```


(8)
Theoretical powder XRD pattern
Compound: TbCr2S4
Radiation: Cu Kα (weighted mean of Kα1 and Kα2)
Structure: a cell relaxed with PBE
No peak broadening, texture or thermal motion is included.

Principal peaks in the range 2θ = 5–70°, in order of rising 2θ:
| 2theta | d (Å) | Rel. int. |
| --- | --- | --- |
| 21.58 | 4.119 | 87 |
| 26.68 | 3.341 | 100 |
| 27.21 | 3.277 | 48 |
| 35.68 | 2.516 | 79 |
| 41.12 | 2.195 | 89 |
| 41.48 | 2.177 | 60 |
| 43.97 | 2.059 | 41 |
| 56.13 | 1.639 | 34 |

Structure:
```
TbCr2S4
1.0
-4.1186 4.1186 3.9640
4.1186 -4.1186 3.9640
4.1186 4.1186 -3.9640
Tb Cr S
2 4 8
Cartesian
4.1186 2.0593 0.9910
0.0000 2.0593 2.9730
0.0000 0.0000 0.0000
2.0593 2.0593 -1.9820
2.0593 -2.0593 1.9820
0.0000 4.1186 0.0000
4.1186 -0.5610 1.6299
4.1186 3.5575 -1.6299
1.4983 2.0593 0.3521
2.6203 -2.0593 4.3161
1.4983 6.1778 -0.3521
2.6203 2.0593 3.6119
0.0000 0.5610 5.5939
0.0000 4.6796 2.3341
```


(9)
Theoretical powder XRD pattern
Compound: Ca2Ga7Au12
Radiation: Cu Kα (weighted mean of Kα1 and Kα2)
Structure: a cell relaxed with PBE
No peak broadening, texture or thermal motion is included.

Principal peaks in the range 2θ = 5–70°, in order of rising 2θ:
| 2theta | d (Å) | Rel. int. |
| --- | --- | --- |
| 17.06 | 5.196 | 62 |
| 31.92 | 2.803 | 49 |
| 32.41 | 2.762 | 49 |
| 33.66 | 2.663 | 100 |
| 33.90 | 2.644 | 79 |
| 41.81 | 2.160 | 69 |
| 43.23 | 2.093 | 44 |
| 43.97 | 2.059 | 47 |

Structure:
```
Ca2Ga7Au12
1.0
4.3336 0.0000 0.0000
0.2588 10.3749 0.0000
0.7893 4.8917 9.1918
Ca Ga Au
2 7 12
Cartesian
1.1968 2.6445 1.5421
4.1849 12.6221 7.6497
1.2481 6.7548 0.8437
1.9419 4.8194 7.2337
1.9668 11.0593 5.4135
2.6908 7.6333 4.5959
3.4148 4.2073 3.7782
3.4398 10.4472 1.9580
4.1336 8.5118 8.3480
1.2595 9.5060 3.3599
1.2027 5.7550 3.3057
1.3768 3.2637 5.2591
1.2892 9.3735 0.4235
2.0165 10.2623 7.9109
1.9268 7.4444 7.1786
3.4549 7.8222 2.0132
3.3651 5.0043 1.2809
4.0924 5.8931 8.7682
4.0048 12.0029 3.9327
4.1790 9.5116 5.8861
4.1222 5.7606 5.8319
```


(10)
Theoretical powder XRD pattern
Compound: Pr4InCo2
Radiation: Cu Kα (weighted mean of Kα1 and Kα2)
Structure: a cell relaxed with PBE
No peak broadening, texture or thermal motion is included.

Principal peaks in the range 2θ = 5–70°, in order of rising 2θ:
| 2theta | d (Å) | Rel. int. |
| --- | --- | --- |
| 26.47 | 3.367 | 100 |
| 37.01 | 2.429 | 92 |
| 38.55 | 2.335 | 71 |
| 46.08 | 1.970 | 22 |
| 54.50 | 1.684 | 29 |
| 60.52 | 1.530 | 20 |
| 66.70 | 1.402 | 16 |
| 67.72 | 1.384 | 25 |

Structure:
```
Pr4InCo2
1.0
2.4288 1.4023 9.3593
-2.4288 1.4023 9.3593
0.0000 -2.8045 9.3593
Pr In Co
4 1 2
Cartesian
0.0000 0.0000 3.0919
0.0000 0.0000 8.3231
0.0000 0.0000 19.7547
0.0000 0.0000 24.9859
0.0000 0.0000 14.0389
0.0000 0.0000 11.3368
0.0000 0.0000 16.7410
```